Entry 1:
The following is a calculated powder X-ray diffraction pattern of Nd4Te5. It was derived from a crystal structure in Alexandria, relaxed with GGA-PBE, using copper Kα.
Peak positions follow from Bragg's law for the DFT cell and can differ from measured ones.

Structure:
```
9
Lattice="-6.0546 6.0546 2.0214 6.0546 -6.0546 2.0214 6.0546 6.0546 -2.0214" Properties=species:S:1:pos:R:3 pbc="T T T"
Nd 1.8883 1.8883 0.0000
Nd 4.1662 -4.1662 2.0214
Nd -4.1662 4.1662 2.0214
Nd 4.1662 4.1662 2.0214
Te 6.0546 2.3899 0.0000
Te 2.3899 6.0546 0.0000
Te 0.0000 0.0000 2.0214
Te 3.6647 0.0000 2.0214
Te 0.0000 3.6647 2.0214
```

Largest 10 diffraction maxima, by angle, 15° ≤ 2θ ≤ 90°:
31.32°, I 100
37.87°, I 8
42.22°, I 3
44.88°, I 17
53.51°, I 4
55.75°, I 31
65.35°, I 8
66.40°, I 7
74.19°, I 6
74.30°, I 5

=====

Entry 2:
The following is a calculated powder X-ray diffraction pattern of Nd4Te3. It was derived from a crystal structure in Alexandria, relaxed with GGA-PBE, using copper Kα.
Peak positions follow from Bragg's law for the DFT cell and can differ from measured ones.

Structure:
```
14
Lattice="-4.7201 4.7201 4.7201 4.7201 -4.7201 4.7201 4.7201 4.7201 -4.7201" Properties=species:S:1:pos:R:3 pbc="T T T"
Nd 3.0360 1.6841 -1.6841
Nd 5.3960 -0.6760 0.6760
Nd 1.6841 -1.6841 3.0360
Nd 1.6841 1.6841 1.6841
Nd -1.6841 3.0360 1.6841
Nd 0.6760 5.3960 -0.6760
Nd -0.6760 0.6760 5.3960
Nd 4.0441 4.0441 4.0441
Te 4.7201 -2.3600 3.5400
Te 3.5400 4.7201 -2.3600
Te 4.7201 2.3600 1.1800
Te 2.3600 1.1800 4.7201
Te 1.1800 4.7201 2.3600
Te -2.3600 3.5400 4.7201
```

Largest 10 diffraction maxima, by angle, 15° ≤ 2θ ≤ 90°:
29.93°, I 100
35.58°, I 67
42.84°, I 11
47.17°, I 17
49.22°, I 22
60.45°, I 26
62.19°, I 12
63.91°, I 14
73.76°, I 15
89.26°, I 11